Entry 1:
Computed XRD peak list of Mg14MnFe for Cu Ka, from a cell relaxed with GGA-PBE.
Neutral-atom scattering factors, no anomalous dispersion.

Most intense lines, 2θ = 5–70°, low angle first:
16.3°, 5.447 Å, I = 13, (1 0 0); 24.3°, 3.660 Å, I = 6, (1 0 2); 32.9°, 2.723 Å, I = 26, (2 0 0); 33.8°, 2.653 Å, I = 3, (1 1 2); 36.4°, 2.471 Å, I = 25, (0 0 4); 37.7°, 2.385 Å, I = 100, (2 0 2); 47.9°, 1.900 Å, I = 3, (2 1 2); 49.8°, 1.830 Å, I = 15, (2 0 4); 58.7°, 1.572 Å, I = 17, (2 2 0); 66.3°, 1.410 Å, I = 17, (2 0 6)

Structural model:
```
data_Mg14MnFe
_symmetry_space_group_name_H-M 'P -6 m 2'
_symmetry_Int_Tables_number 187
_symmetry_space_group_name_Hall 'P -6 2'
_cell_length_a 6.2894
_cell_length_b 6.2894
_cell_length_c 9.8859
_cell_angle_alpha 90.00
_cell_angle_beta 90.00
_cell_angle_gamma 120.00
loop_
_atom_site_label
_atom_site_fract_x
_atom_site_fract_y
_atom_site_fract_z
Mg1 0.0000 0.0000 0.2492
Mg2 0.0131 0.5066 0.2522
Mg3 0.3327 0.1664 0.5000
Mg4 0.3338 0.1669 0.0000
Mn1 0.3333 0.6667 0.0000
Fe1 0.3333 0.6667 0.5000
```


Entry 2:
Computed XRD peak list of GdDyIn2 for Cu Ka, from a cell relaxed with GGA-PBE.
Neutral-atom scattering factors, no anomalous dispersion.

Most intense lines, 2θ = 5–70°, low angle first:
22.9°, 3.884 Å, I = 3, (2 0 0); 32.6°, 2.746 Å, I = 100, (2 2 0); 40.2°, 2.242 Å, I = 1, (2 2 2); 46.8°, 1.942 Å, I = 18, (4 0 0); 52.7°, 1.737 Å, I = 1, (4 2 0); 58.2°, 1.586 Å, I = 38, (4 2 2); 68.3°, 1.373 Å, I = 12, (4 4 0)

Structural model:
```
data_GdDyIn2
_symmetry_space_group_name_H-M 'F m -3 m'
_symmetry_Int_Tables_number 225
_symmetry_space_group_name_Hall '-F 4 2 3'
_cell_length_a 7.767
_cell_length_b 7.767
_cell_length_c 7.767
_cell_angle_alpha 90.00
_cell_angle_beta 90.00
_cell_angle_gamma 90.00
loop_
_atom_site_label
_atom_site_fract_x
_atom_site_fract_y
_atom_site_fract_z
Gd1 0.000 0.000 0.000
Dy1 0.000 0.000 0.500
In1 0.250 0.250 0.250
```